No. 1
This entry pairs a crystal structure of PrYSn6 with its simulated X-ray powder pattern. Radiation: Cu Ka. Structure: a DFT-relaxed cell (PBE, the Materials Project).
Lines closer than 0.1° are merged.

Peak list (10 most intense, 2θ from 10° to 90°, low angle first)
2θ 32.52, I = 1000
2θ 37.58, I = 341
2θ 38.02, I = 164
2θ 54.19, I = 120
2θ 54.52, I = 235
2θ 64.64, I = 286
2θ 65.24, I = 137
2θ 68.10, I = 123
2θ 89.23, I = 65
2θ 89.77, I = 127

Structural model:
Cell lengths 4.787, 4.787, 9.467 Å; angles 90.00, 90.00, 90.00 degrees
Space group P4/mmm (No. 123)
One atom of each set of equivalent atoms:
Pr 0.000 0.000 0.000 x1
Y 0.000 0.000 0.500 x1
Sn 0.000 0.500 0.255 x4
Sn 0.500 0.500 0.000 x1
Sn 0.500 0.500 0.500 x1

---

No. 2
This entry pairs a crystal structure of LuAlO3 with its simulated X-ray powder pattern. Radiation: Cu Ka. Structure: a DFT-relaxed cell (PBE, the Materials Project).
Lines closer than 0.1° are merged.

Peak list (10 most intense, 2θ from 10° to 90°, low angle first)
2θ 24.03, I = 616
2θ 24.18, I = 384
2θ 26.95, I = 286
2θ 34.36, I = 1000
2θ 35.05, I = 249
2θ 35.64, I = 193
2θ 43.04, I = 258
2θ 49.21, I = 177
2θ 55.90, I = 247
2θ 62.43, I = 219

Structural model:
Cell lengths 5.362, 7.360, 5.120 Å; angles 90.00, 90.00, 90.00 degrees
Space group Pnma (No. 62)
One atom of each set of equivalent atoms:
Lu 0.064 0.250 0.017 x4
Al 0.000 0.000 0.500 x4
O 0.033 0.750 0.398 x4
O 0.200 0.553 0.801 x8

---

No. 3
This entry pairs a crystal structure of BaMg14CO16 with its simulated X-ray powder pattern. Radiation: Cu Ka. Structure: a DFT-relaxed cell (PBE, the Materials Project).
Lines closer than 0.1° are merged.

Peak list (10 most intense, 2θ from 10° to 90°, low angle first)
2θ 10.11, I = 475
2θ 22.37, I = 230
2θ 22.73, I = 237
2θ 30.39, I = 284
2θ 35.32, I = 321
2θ 40.44, I = 561
2θ 41.29, I = 1000
2θ 59.17, I = 603
2θ 59.82, I = 276
2θ 74.70, I = 261

Structural model:
Cell lengths 8.746, 8.746, 4.461 Å; angles 90.00, 90.00, 90.00 degrees
Space group P4/mmm (No. 123)
One atom of each set of equivalent atoms:
Ba 0.000 0.000 0.000 x1
Mg 0.000 0.266 0.500 x4
Mg 0.000 0.500 0.000 x2
Mg 0.257 0.500 0.500 x4
Mg 0.262 0.262 0.000 x4
C 0.500 0.500 0.000 x1
O 0.000 0.000 0.500 x1
O 0.000 0.281 0.000 x4
O 0.000 0.500 0.500 x2
O 0.251 0.251 0.500 x4
O 0.255 0.500 0.000 x4
O 0.500 0.500 0.500 x1

---

No. 4
This entry pairs a crystal structure of Mg6CrCo with its simulated X-ray powder pattern. Radiation: Cu Ka. Structure: a DFT-relaxed cell (PBE, the Materials Project).
Lines closer than 0.1° are merged.

Peak list (10 most intense, 2θ from 10° to 90°, low angle first)
2θ 17.00, I = 211
2θ 34.27, I = 289
2θ 34.38, I = 136
2θ 37.36, I = 380
2θ 39.18, I = 1000
2θ 39.29, I = 502
2θ 51.62, I = 246
2θ 61.51, I = 156
2θ 68.63, I = 256
2θ 74.23, I = 171

Structural model:
Cell lengths 4.814, 6.050, 10.433 Å; angles 90.00, 90.00, 90.00 degrees
Space group Amm2 (No. 38)
One atom of each set of equivalent atoms:
Mg 0.000 0.000 0.000 x2
Mg 0.000 0.000 0.496 x2
Mg 0.000 0.244 0.235 x4
Mg 0.500 0.249 0.407 x4
Cr 0.500 0.000 0.658 x2
Co 0.500 0.000 0.156 x2

---

No. 5
This entry pairs a crystal structure of Ca2SnS4 with its simulated X-ray powder pattern. Radiation: Cu Ka. Structure: a DFT-relaxed cell (PBE, the Materials Project).
Lines closer than 0.1° are merged.

Peak list (10 most intense, 2θ from 10° to 90°, low angle first)
2θ 13.07, I = 886
2θ 18.85, I = 1000
2θ 24.25, I = 408
2θ 25.89, I = 371
2θ 26.54, I = 913
2θ 35.77, I = 447
2θ 37.72, I = 568
2θ 38.23, I = 399
2θ 39.65, I = 529
2θ 46.06, I = 632

Structural model:
Cell lengths 6.883, 7.341, 13.552 Å; angles 90.00, 90.00, 90.00 degrees
Space group Pbca (No. 61)
One atom of each set of equivalent atoms:
Ca 0.011 0.097 0.145 x8
Sn 0.000 0.000 0.500 x4
S 0.118 0.040 0.674 x8
S 0.190 0.196 0.948 x8